No. 1
The following is a theoretical X-ray powder pattern of TbCeNp2P4. It was derived from a DFT-relaxed cell (GGA-PBE, Alexandria), using Cu Kα, 1.54184 Å.

Cell lengths 6.941, 4.008, 6.948 Å; angles 90.00, 109.47, 90.00 degrees
Space group P2/m (No. 10)
Symmetry-distinct sites (fractional):
Tb  0.000  0.000  0.000
Ce  0.000  0.500  0.500
Np  0.500  0.000  0.500
Np  0.500  0.500  0.000
P  0.259  0.000  0.755
P  0.259  0.500  0.251

The 12 most intense peaks (2θ = 10–90°), sorted by position:
Position (°2θ)  I/Imax  hkl
13.53  9  1 0 0
26.06  5  1 0 -2
27.24  99  2 0 0
31.56  100  1 1 1
45.23  74  0 2 0
53.61  49  3 1 1
56.20  26  0 0 4
65.90  12  2 2 2
72.69  20  4 0 2
74.90  34  1 3 1
83.53  24  2 0 -6
89.90  15  4 2 2

=====

No. 2
The following is a theoretical X-ray powder pattern of Y5HoSc4. It was derived from a DFT-relaxed cell (GGA-PBE, Alexandria), using Cu Kα, 1.54184 Å.

Cell lengths 17.635, 4.837, 6.905 Å; angles 90.00, 101.44, 90.00 degrees
Space group Cm (No. 8)
Symmetry-distinct sites (fractional):
Y  0.000  0.000  0.000
Y  0.097  0.500  0.786
Y  0.200  0.000  0.105
Y  0.296  0.500  0.892
Y  0.395  0.000  0.687
Ho  0.401  0.000  0.203
Sc  0.000  0.000  0.492
Sc  0.100  0.500  0.303
Sc  0.196  0.000  0.588
Sc  0.296  0.500  0.397

The 12 most intense peaks (2θ = 10–90°), sorted by position:
Position (°2θ)  I/Imax  hkl
10.24  6  2 0 0
22.59  6  1 1 -1
31.83  100  5 1 0
36.74  17  6 0 -2
36.84  16  4 0 2
37.18  16  0 2 0
52.97  6  10 0 0
53.30  22  6 2 -2
63.11  13  11 1 -2
63.25  12  9 1 2
63.69  13  5 3 0
66.52  11  10 2 0

=====

No. 3
The following is a theoretical X-ray powder pattern of TlPtPbO6. It was derived from a DFT-relaxed cell (GGA-PBE, Alexandria), using Cu Kα, 1.54184 Å.

Cell lengths 4.936, 4.936, 10.193 Å; angles 90.00, 90.00, 90.00 degrees
Space group P4_2nm (No. 102)
Symmetry-distinct sites (fractional):
Tl  0.000  0.000  0.000
Pt  0.000  0.000  0.666
Pb  0.000  0.000  0.333
O  0.181  0.181  0.514
O  0.184  0.184  0.817
O  0.215  0.215  0.168

The 12 most intense peaks (2θ = 10–90°), sorted by position:
Position (°2θ)  I/Imax  hkl
25.52  100  1 1 0
31.98  96  1 0 3
36.41  30  2 0 0
49.22  71  2 1 3
52.43  16  2 2 0
59.20  18  3 1 0
60.62  19  1 1 6
62.75  20  3 0 3
74.77  17  3 2 3
84.25  14  3 1 6
86.12  14  4 1 3
88.60  13  4 2 0

=====

No. 4
The following is a theoretical X-ray powder pattern of Li3U6Te14. It was derived from a DFT-relaxed cell (GGA-PBE, Alexandria), using Cu Kα, 1.54184 Å.

Cell lengths 10.9135, 10.9135, 6.3411 Å; angles 90.00, 90.00, 120.00 degrees
Space group P3 (No. 143)
Symmetry-distinct sites (fractional):
Li  0.0000  0.0000  0.0000
Li  0.3333  0.6667  0.1175
Li  0.6667  0.3333  0.6166
U  0.1446  0.3720  0.7389
U  0.3717  0.2268  0.2361
Te  0.0709  0.5645  0.9834
Te  0.1022  0.2542  0.2511
Te  0.2545  0.1513  0.7504
Te  0.3333  0.6667  0.5294
Te  0.5068  0.0709  0.4832
Te  0.6667  0.3333  0.0284

The 12 most intense peaks (2θ = 10–90°), sorted by position:
Position (°2θ)  I/Imax  hkl
16.84  60  1 0 1
23.48  38  2 0 1
28.68  79  3 -1 1
29.72  45  0 1 2
31.71  97  0 3 1
32.83  86  2 2 0
34.05  100  2 0 2
34.21  45  3 1 0
37.11  72  3 1 1
37.94  65  1 2 2
44.14  37  5 -3 1
46.29  48  1 4 1

=====

No. 5
The following is a theoretical X-ray powder pattern of NdSmBi6. It was derived from a DFT-relaxed cell (GGA-PBE, Alexandria), using Cu Kα, 1.54184 Å.

Cell lengths 4.682, 4.696, 23.355 Å; angles 90.00, 90.00, 90.00 degrees
Space group Amm2 (No. 38)
Symmetry-distinct sites (fractional):
Nd  0.000  0.000  0.000
Sm  0.500  0.000  0.648
Bi  0.000  0.000  0.138
Bi  0.000  0.000  0.383
Bi  0.000  0.000  0.758
Bi  0.500  0.000  0.265
Bi  0.500  0.000  0.511
Bi  0.500  0.000  0.890

The 12 most intense peaks (2θ = 10–90°), sorted by position:
Position (°2θ)  I/Imax  hkl
29.28  99  1 1 3
30.62  52  0 0 8
33.13  100  1 1 5
38.32  38  0 2 0
38.46  32  2 0 0
49.89  55  2 0 8
55.43  23  2 2 0
58.43  23  1 1 13
63.81  17  0 0 16
64.66  26  2 2 8
66.04  14  1 3 5
66.20  14  3 1 5

=====

No. 6
The following is a theoretical X-ray powder pattern of SnHg2S2Br2. It was derived from a DFT-relaxed cell (GGA-PBE, Alexandria), using Cu Kα, 1.54184 Å.

Cell lengths 10.115, 13.260, 8.795 Å; angles 90.00, 96.58, 90.00 degrees
Space group P2_1/c (No. 14)
Symmetry-distinct sites (fractional):
Sn  0.215  0.104  0.400
Hg  0.141  0.136  0.775
Hg  0.268  0.706  0.399
S  0.049  0.233  0.414
S  0.229  0.006  0.631
Br  0.167  0.515  0.675
Br  0.431  0.184  0.349

The 12 most intense peaks (2θ = 10–90°), sorted by position:
Position (°2θ)  I/Imax  hkl
17.65  61  2 0 0
18.89  29  2 1 0
19.52  100  1 2 1
21.23  56  1 0 -2
21.97  54  1 3 0
25.16  25  1 2 -2
26.80  39  1 2 2
27.47  33  3 1 0
28.03  47  2 3 -1
28.75  23  0 3 2
32.63  54  2 3 -2
33.60  50  0 2 3